# 1
For Ho3Tm2Zn2, a structure optimized by DFT (PBE) gives the computed powder XRD pattern in this record (CuKα).
Neutral-atom scattering factors, no anomalous dispersion.

The 12 most intense peaks (2θ from 5° to 70°), by angle:
3.041 Å, 2θ = 29.37°, intensity 20
2.957 Å, 2θ = 30.22°, intensity 26
2.807 Å, 2θ = 31.88°, intensity 40
2.770 Å, 2θ = 32.31°, intensity 100
2.644 Å, 2θ = 33.90°, intensity 23
2.600 Å, 2θ = 34.50°, intensity 28
2.588 Å, 2θ = 34.67°, intensity 17
2.467 Å, 2θ = 36.42°, intensity 28
2.261 Å, 2θ = 39.88°, intensity 15
1.817 Å, 2θ = 50.20°, intensity 17
1.754 Å, 2θ = 52.16°, intensity 23
1.595 Å, 2θ = 57.80°, intensity 15

Structural model:
abc: 12.8266 3.6345 8.8769
angles: 90.00 115.64 90.00
Atoms (fractional coordinates):
Ho 0.0000 0.0000 0.0000
Ho 0.1108 0.0000 0.4418
Ho 0.3892 0.5000 0.5582
Ho 0.5000 0.5000 0.0000
Ho 0.6108 0.5000 0.4418
Ho 0.8892 0.0000 0.5582
Tm 0.1468 0.5000 0.8116
Tm 0.3532 0.0000 0.1884
Tm 0.6468 0.0000 0.8116
Tm 0.8532 0.5000 0.1884
Zn 0.1812 0.5000 0.2215
Zn 0.3188 0.0000 0.7785
Zn 0.6812 0.0000 0.2215
Zn 0.8188 0.5000 0.7785

---

# 2
For IrRh3, a structure optimized by DFT (PBE) gives the computed powder XRD pattern in this record (CuKα).
Neutral-atom scattering factors, no anomalous dispersion.

The 12 most intense peaks (2θ from 5° to 70°), by angle:
5.442 Å, 2θ = 16.29°, intensity 7
3.846 Å, 2θ = 23.13°, intensity 3
3.141 Å, 2θ = 28.42°, intensity 3
2.723 Å, 2θ = 32.89°, intensity 2
2.437 Å, 2θ = 36.89°, intensity 2
2.222 Å, 2θ = 40.59°, intensity 100
2.058 Å, 2θ = 43.99°, intensity 2
1.925 Å, 2θ = 47.22°, intensity 48
1.722 Å, 2θ = 53.20°, intensity 1
1.510 Å, 2θ = 61.41°, intensity 1
1.363 Å, 2θ = 68.92°, intensity 5
1.361 Å, 2θ = 69.02°, intensity 26

Structural model:
abc: 2.7250 3.8462 5.4423
angles: 90.00 90.00 90.00
Atoms (fractional coordinates):
Ir 0.0000 0.0000 0.0000
Rh 0.0000 0.0000 0.5000
Rh 0.5000 0.5000 0.2477
Rh 0.5000 0.5000 0.7523

---

# 3
For Ce2Se2F, a structure optimized by DFT (PBE) gives the computed powder XRD pattern in this record (CuKα).
Neutral-atom scattering factors, no anomalous dispersion.

The 12 most intense peaks (2θ from 5° to 70°), by angle:
3.696 Å, 2θ = 24.08°, intensity 68
3.413 Å, 2θ = 26.11°, intensity 36
3.373 Å, 2θ = 26.43°, intensity 63
3.343 Å, 2θ = 26.67°, intensity 34
2.995 Å, 2θ = 29.83°, intensity 71
2.666 Å, 2θ = 33.62°, intensity 98
2.374 Å, 2θ = 37.89°, intensity 100
2.091 Å, 2θ = 43.26°, intensity 43
2.030 Å, 2θ = 44.64°, intensity 40
1.848 Å, 2θ = 49.32°, intensity 27
1.459 Å, 2θ = 63.80°, intensity 32
1.426 Å, 2θ = 65.47°, intensity 30

Structural model:
abc: 9.0657 9.0657 6.7457
angles: 90.00 90.00 154.12
Atoms (fractional coordinates):
Ce 0.0732 0.9268 0.5000
Ce 0.3240 0.6760 0.5271
Ce 0.6760 0.3240 0.0271
Ce 0.9268 0.0732 0.0000
Se 0.2994 0.7006 0.9955
Se 0.4710 0.5290 0.3034
Se 0.5290 0.4710 0.8034
Se 0.7006 0.2994 0.4955
F 0.1174 0.8826 0.1509
F 0.8826 0.1174 0.6509

---

# 4
For Li2As3, a structure optimized by DFT (PBE) gives the computed powder XRD pattern in this record (CuKα).
Neutral-atom scattering factors, no anomalous dispersion.

The 12 most intense peaks (2θ from 5° to 70°), by angle:
9.544 Å, 2θ = 9.27°, intensity 37
4.772 Å, 2θ = 18.59°, intensity 65
2.990 Å, 2θ = 29.89°, intensity 37
2.772 Å, 2θ = 32.30°, intensity 15
2.662 Å, 2θ = 33.67°, intensity 100
2.073 Å, 2θ = 43.66°, intensity 43
1.968 Å, 2θ = 46.13°, intensity 25
1.909 Å, 2θ = 47.64°, intensity 9
1.736 Å, 2θ = 52.74°, intensity 28
1.631 Å, 2θ = 56.41°, intensity 20
1.538 Å, 2θ = 60.18°, intensity 14
1.454 Å, 2θ = 64.05°, intensity 15

Structural model:
abc: 3.4712 3.4712 28.6334
angles: 90.00 90.00 120.00
Atoms (fractional coordinates):
Li 0.0000 0.0000 0.1044
Li 0.0000 0.0000 0.8956
Li 0.3333 0.6667 0.5622
Li 0.3333 0.6667 0.7711
Li 0.6667 0.3333 0.2289
Li 0.6667 0.3333 0.4378
As 0.0000 0.0000 0.3076
As 0.0000 0.0000 0.5000
As 0.0000 0.0000 0.6924
As 0.3333 0.6667 0.1667
As 0.3333 0.6667 0.3591
As 0.3333 0.6667 0.9743
As 0.6667 0.3333 0.0257
As 0.6667 0.3333 0.6409
As 0.6667 0.3333 0.8333

---

# 5
For CsPbI2Br, a structure optimized by DFT (PBE) gives the computed powder XRD pattern in this record (CuKα).
Neutral-atom scattering factors, no anomalous dispersion.

The 12 most intense peaks (2θ from 5° to 70°), by angle:
6.051 Å, 2θ = 14.64°, intensity 40
4.474 Å, 2θ = 19.85°, intensity 31
4.373 Å, 2θ = 20.31°, intensity 67
3.799 Å, 2θ = 23.42°, intensity 37
3.597 Å, 2θ = 24.75°, intensity 38
3.163 Å, 2θ = 28.21°, intensity 100
3.025 Å, 2θ = 29.53°, intensity 59
2.563 Å, 2θ = 35.01°, intensity 66
2.237 Å, 2θ = 40.32°, intensity 28
2.186 Å, 2θ = 41.29°, intensity 71
1.799 Å, 2θ = 50.76°, intensity 29
1.487 Å, 2θ = 62.44°, intensity 26

Structural model:
abc: 8.7542 8.7542 8.7542
angles: 118.54 118.54 92.56
Atoms (fractional coordinates):
Cs 0.0000 0.5000 0.5000
Cs 0.5000 0.0000 0.5000
Pb 0.2491 0.2491 0.0000
Pb 0.7491 0.7491 0.0000
I 0.0496 0.5496 0.0996
I 0.4500 0.9500 0.9004
I 0.5496 0.4500 0.5000
I 0.9500 0.0496 0.5000
Br 0.4994 0.4994 0.0000
Br 0.9994 0.9994 0.0000

---

# 6
For PuTh3Se4, a structure optimized by DFT (PBE) gives the computed powder XRD pattern in this record (CuKα).
Neutral-atom scattering factors, no anomalous dispersion.

The 12 most intense peaks (2θ from 5° to 70°), by angle:
3.430 Å, 2θ = 25.98°, intensity 33
3.382 Å, 2θ = 26.35°, intensity 10
2.960 Å, 2θ = 30.19°, intensity 100
2.108 Å, 2θ = 42.90°, intensity 13
2.102 Å, 2θ = 43.02°, intensity 26
2.082 Å, 2θ = 43.46°, intensity 37
1.790 Å, 2θ = 51.03°, intensity 6
1.786 Å, 2θ = 51.16°, intensity 8
1.717 Å, 2θ = 53.36°, intensity 14
1.712 Å, 2θ = 53.53°, intensity 7
1.691 Å, 2θ = 54.24°, intensity 7
1.480 Å, 2θ = 62.78°, intensity 13

Structural model:
abc: 7.2763 8.4327 7.1888
angles: 90.00 109.78 90.00
Atoms (fractional coordinates):
Pu 0.0000 0.1266 0.2500
Pu 0.0000 0.8734 0.7500
Th 0.0000 0.3750 0.7500
Th 0.0000 0.6250 0.2500
Th 0.5000 0.1238 0.7500
Th 0.5000 0.3739 0.2500
Th 0.5000 0.6261 0.7500
Th 0.5000 0.8762 0.2500
Se 0.2425 0.1212 0.9990
Se 0.2425 0.8788 0.4990
Se 0.2472 0.3716 0.4976
Se 0.2472 0.6284 0.9976
Se 0.7528 0.3716 0.0024
Se 0.7528 0.6284 0.5024
Se 0.7575 0.1212 0.5010
Se 0.7575 0.8788 0.0010